Starting from the GGA-PBE geometry in Alexandria, the PXRD pattern of Ta2Be16B was computed for copper Kα.
Neutral-atom scattering factors, no anomalous dispersion.

Crystal structure
```
data_Ta2Be16B
_chemical_formula_sum 'Ta6 Be48 B3'
_cell_length_a 7.3213
_cell_length_b 7.3213
_cell_length_c 10.6164
_cell_angle_alpha 90.00
_cell_angle_beta 90.00
_cell_angle_gamma 120.00
_symmetry_space_group_name_H-M 'R 3 m'
_symmetry_Int_Tables_number 160
_symmetry_space_group_name_Hall 'R 3 -2"'
loop_
_atom_site_label
_atom_site_type_symbol
_atom_site_fract_x
_atom_site_fract_y
_atom_site_fract_z
_atom_site_occupancy
Ta1 Ta 0.0000 0.0000 0.0000 1
Ta2 Ta 0.0000 0.0000 0.3249 1
Be1 Be 0.0000 0.0000 0.5756 1
Be2 Be 0.0048 0.5024 0.8202 1
Be3 Be 0.0361 0.3688 0.3301 1
Be4 Be 0.1683 0.3366 0.4971 1
Be5 Be 0.1688 0.3375 0.8401 1
B1 B 0.0000 0.0000 0.7687 1
```

Peak list (10 most intense, 2θ from 15° to 90°, sorted by position)
d [Å]  2theta  I (rel.)
5.443  16.28  64
4.070  21.84  27
3.661  24.31  100
3.539  25.17  30
3.038  29.40  18
2.544  35.28  87
2.113  42.79  30
1.830  49.82  22
1.814  50.28  41
1.289  73.49  22